Starting from the PBE geometry in Alexandria, the powder diffraction line list of LaTb2Pr5Nd was computed for Cu Kα, 1.54184 Å.
Lines closer than 0.1° are merged.

Crystal structure
```
LaTb2Pr5Nd
1.0
-4.504 4.504 7.955
4.504 -4.504 7.955
4.504 4.504 -7.955
La Tb Pr Nd
2 4 10 2
Direct
0.250 0.250 0.000
0.750 0.750 0.000
0.117 0.617 0.734
0.383 0.117 0.500
0.617 0.883 0.500
0.883 0.383 0.266
0.000 0.000 0.000
0.065 0.167 0.500
0.167 0.667 0.102
0.333 0.435 0.500
0.435 0.935 0.102
0.500 0.500 0.000
0.565 0.065 0.898
0.667 0.565 0.500
0.833 0.333 0.898
0.935 0.833 0.500
0.250 0.750 0.500
0.750 0.250 0.500
```

Largest 8 diffraction maxima, low angle first, 2θ from 10° to 80°:
d_spacing, intensity
3.208, 68
3.185, 46
2.981, 100
2.848, 19
2.497, 20
2.468, 21
2.165, 26
1.797, 15

Starting from the PBE geometry in Alexandria, the powder diffraction line list of AgH2CS2N was computed for Cu Kα, 1.54184 Å.
Lines closer than 0.1° are merged.

Crystal structure
```
AgH2CS2N
1.0
-4.021 4.021 6.288
4.021 -4.021 6.288
4.021 4.021 -6.288
Ag H C S N
4 8 4 8 4
Direct
0.156 0.156 0.000
0.594 0.094 0.500
0.844 0.844 0.000
0.906 0.406 0.500
0.245 0.188 0.750
0.245 0.688 0.750
0.312 0.062 0.557
0.438 0.495 0.250
0.505 0.755 0.443
0.505 0.755 0.943
0.812 0.562 0.057
0.938 0.495 0.250
0.241 0.625 0.116
0.375 0.491 0.616
0.509 0.125 0.884
0.875 0.759 0.384
0.066 0.402 0.862
0.152 0.316 0.362
0.211 0.848 0.164
0.539 0.204 0.138
0.598 0.461 0.664
0.684 0.046 0.836
0.796 0.934 0.336
0.954 0.789 0.638
0.344 0.125 0.719
0.375 0.656 0.781
0.406 0.625 0.281
0.875 0.594 0.219
```

Largest 8 diffraction maxima, low angle first, 2θ from 10° to 80°:
d_spacing, intensity
6.775, 54
4.217, 35
4.021, 33
3.458, 30
2.729, 100
2.477, 17
1.968, 32
1.798, 23

Starting from the PBE geometry in Alexandria, the powder diffraction line list of Ba3In2Ag2Hg4 was computed for Cu Kα, 1.54184 Å.
Lines closer than 0.1° are merged.

Crystal structure
```
Ba3In2Ag2Hg4
1.0
5.083 0.000 0.000
-2.542 4.402 0.000
0.000 0.000 15.926
Ba In Ag Hg
3 2 2 4
Direct
0.000 0.000 0.000
0.000 0.000 0.266
0.000 0.000 0.734
0.333 0.667 0.570
0.667 0.333 0.430
0.333 0.667 0.133
0.667 0.333 0.867
0.333 0.667 0.386
0.333 0.667 0.869
0.667 0.333 0.131
0.667 0.333 0.614
```

Largest 8 diffraction maxima, low angle first, 2θ from 10° to 80°:
d_spacing, intensity
3.853, 32
3.389, 22
2.953, 90
2.542, 100
2.274, 26
1.926, 26
1.695, 27
1.535, 25

Starting from the PBE geometry in Alexandria, the powder diffraction line list of NiHg3 was computed for Cu Kα, 1.54184 Å.
Lines closer than 0.1° are merged.

Crystal structure
```
NiHg3
1.0
3.067 0.000 0.000
0.000 4.129 0.000
0.000 0.000 7.540
Ni Hg
1 3
Direct
0.000 0.000 0.000
0.000 0.500 0.549
0.500 0.000 0.289
0.500 0.500 0.925
```

Largest 8 diffraction maxima, low angle first, 2θ from 10° to 80°:
d_spacing, intensity
3.622, 67
2.841, 27
2.784, 44
2.513, 29
2.379, 41
2.340, 100
2.063, 45
1.497, 29

Starting from the PBE geometry in Alexandria, the powder diffraction line list of CeTmTe2S was computed for Cu Kα, 1.54184 Å.
Lines closer than 0.1° are merged.

Crystal structure
```
CeTmTe2S
1.0
4.400 0.000 0.000
0.000 4.400 0.000
0.000 0.000 15.354
Ce Tm Te S
2 2 4 2
Direct
0.250 0.250 0.108
0.750 0.750 0.892
0.250 0.250 0.605
0.750 0.750 0.395
0.250 0.250 0.402
0.250 0.250 0.796
0.750 0.750 0.204
0.750 0.750 0.598
0.250 0.750 0.000
0.750 0.250 0.000
```

Largest 8 diffraction maxima, low angle first, 2θ from 10° to 80°:
d_spacing, intensity
3.838, 25
3.337, 26
3.111, 100
2.417, 46
2.212, 24
2.200, 48
1.976, 20
1.908, 20

Starting from the PBE geometry in Alexandria, the powder diffraction line list of Th4SiGeSe2 was computed for Cu Kα, 1.54184 Å.
Lines closer than 0.1° are merged.

Crystal structure
```
Th4SiGeSe2
1.0
7.331 0.000 0.000
0.000 4.267 0.000
-2.488 0.000 6.991
Th Si Ge Se
4 1 1 2
Direct
0.234 0.000 0.241
0.238 0.500 0.751
0.762 0.500 0.249
0.766 0.000 0.759
0.000 0.500 0.000
0.000 0.000 0.500
0.500 0.000 0.000
0.500 0.500 0.500
```

Largest 8 diffraction maxima, low angle first, 2θ from 10° to 80°:
d_spacing, intensity
3.487, 42
3.453, 13
3.012, 100
2.140, 26
2.133, 13
2.121, 24
1.741, 14
1.506, 12

Starting from the PBE geometry in Alexandria, the powder diffraction line list of DyFe5Si3 was computed for Cu Kα, 1.54184 Å.
Lines closer than 0.1° are merged.

Crystal structure
```
DyFe5Si3
1.0
1.938 -6.078 0.000
1.938 6.078 0.000
0.000 0.000 10.480
Dy Fe Si
2 10 6
Direct
0.197 0.803 0.750
0.803 0.197 0.250
0.000 0.000 0.000
0.000 0.000 0.500
0.187 0.813 0.057
0.187 0.813 0.443
0.462 0.538 0.641
0.462 0.538 0.859
0.538 0.462 0.141
0.538 0.462 0.359
0.813 0.187 0.557
0.813 0.187 0.943
0.096 0.904 0.250
0.368 0.632 0.048
0.368 0.632 0.452
0.632 0.368 0.548
0.632 0.368 0.952
0.904 0.096 0.750
```

Largest 8 diffraction maxima, low angle first, 2θ from 10° to 80°:
d_spacing, intensity
3.483, 40
2.919, 52
2.801, 58
2.538, 100
2.470, 43
2.137, 52
2.060, 35
1.938, 51

Starting from the PBE geometry in Alexandria, the powder diffraction line list of La12AgSn4N3 was computed for Cu Kα, 1.54184 Å.
Lines closer than 0.1° are merged.

Crystal structure
```
La12AgSn4N3
1.0
-5.254 5.254 5.254
5.254 -5.254 5.254
5.254 5.254 -5.254
La Ag Sn N
12 1 4 3
Direct
0.000 0.275 0.275
0.000 0.725 0.725
0.250 0.500 0.750
0.250 0.750 0.500
0.275 0.000 0.275
0.275 0.275 0.000
0.500 0.250 0.750
0.500 0.750 0.250
0.725 0.000 0.725
0.725 0.725 0.000
0.750 0.250 0.500
0.750 0.500 0.250
0.000 0.000 0.000
0.000 0.000 0.500
0.000 0.500 0.000
0.500 0.000 0.000
0.500 0.500 0.500
0.000 0.500 0.500
0.500 0.000 0.500
0.500 0.500 0.000
```

Largest 8 diffraction maxima, low angle first, 2θ from 10° to 80°:
d_spacing, intensity
3.034, 100
2.809, 5
2.627, 68
1.858, 46
1.584, 40
1.517, 15
1.314, 7
1.205, 15